Starting from a GGA-PBE-relaxed structure, the powder diffraction line list of PtSO5 was calculated for CuKα.

Cell: 10.995 5.667 6.707 Å, 90.00 90.00 90.00°
Fractional coordinates of all 28 atoms:
Pt  0.054  0.250  0.174
Pt  0.446  0.750  0.674
Pt  0.554  0.250  0.326
Pt  0.946  0.750  0.826
S  0.156  0.750  0.489
S  0.344  0.250  0.989
S  0.656  0.750  0.011
S  0.844  0.250  0.511
O  0.000  0.000  0.000
O  0.000  0.500  0.000
O  0.115  0.532  0.392
O  0.115  0.968  0.392
O  0.118  0.750  0.708
O  0.207  0.250  0.995
O  0.293  0.750  0.495
O  0.382  0.250  0.208
O  0.385  0.032  0.892
O  0.385  0.468  0.892
O  0.500  0.000  0.500
O  0.500  0.500  0.500
O  0.615  0.532  0.108
O  0.615  0.968  0.108
O  0.618  0.750  0.792
O  0.707  0.250  0.505
O  0.793  0.750  0.005
O  0.882  0.250  0.292
O  0.885  0.032  0.608
O  0.885  0.468  0.608

Top 8 peaks for 2θ = 10–80°, sorted by position:
two_theta	I/Imax	(hkl)
16.1	55	2 0 0
20.5	100	0 1 1
20.9	38	2 0 1
22.1	36	1 1 1
26.2	62	2 1 1
32.0	57	1 1 2
35.3	29	4 0 1
36.3	36	4 1 0